No. 1
YHo2Th2: calculated XRD peak list (Cu Kα, 1.54184 Å), based on a DFT-relaxed cell (GGA-PBE, Alexandria).

Cell and atoms:
```
YHo2Th2
1.0
14.5924 0.0000 0.0000
0.0000 7.1155 0.0000
-0.8811 0.0000 6.1248
Y Ho Th
4 8 8
direct
0.1982 0.1262 0.1497 Y
0.1982 0.3738 0.6497 Y
0.8018 0.6262 0.3503 Y
0.8018 0.8738 0.8503 Y
0.1963 0.6231 0.1477 Ho
0.1963 0.8769 0.6477 Ho
0.4018 0.6245 0.5499 Ho
0.4018 0.8755 0.0499 Ho
0.5982 0.1245 0.9501 Ho
0.5982 0.3755 0.4501 Ho
0.8037 0.1231 0.3523 Ho
0.8037 0.3769 0.8523 Ho
0.0007 0.6244 0.7488 Th
0.0007 0.8756 0.2488 Th
0.4023 0.1286 0.5502 Th
0.4023 0.3714 0.0502 Th
0.5977 0.6286 0.9498 Th
0.5977 0.8714 0.4498 Th
0.9993 0.1244 0.7512 Th
0.9993 0.3756 0.2512 Th
```

Principal peaks in the range 10° ≤ 2θ ≤ 90°, in order of rising 2θ:
2θ (°)  d [Å]  I_rel
30.74  2.908  100
30.96  2.889  33
35.64  2.519  23
35.74  2.512  45
51.53  1.773  24
61.04  1.518  29

=====

No. 2
NaGaGe2Pd: calculated XRD peak list (Cu Kα, 1.54184 Å), based on a DFT-relaxed cell (GGA-PBE, Alexandria).

Cell and atoms:
```
NaGaGe2Pd
1.0
-2.1112 2.1112 5.4990
2.1112 -2.1112 5.4990
2.1112 2.1112 -5.4990
Na Ga Ge Pd
1 1 2 1
direct
0.0000 0.0000 0.0000 Na
0.2500 0.7500 0.5000 Ga
0.3843 0.3843 0.0000 Ge
0.6157 0.6157 0.0000 Ge
0.7500 0.2500 0.5000 Pd
```

Principal peaks in the range 10° ≤ 2θ ≤ 90°, in order of rising 2θ:
2θ (°)  d [Å]  I_rel
16.12  5.499  62
22.56  3.942  52
32.34  2.768  31
34.17  2.624  100
42.83  2.111  67
44.81  2.023  86

=====

No. 3
TbH6Ru: calculated XRD peak list (Cu Kα, 1.54184 Å), based on a DFT-relaxed cell (GGA-PBE, Alexandria).

Cell and atoms:
```
TbH6Ru
1.0
2.3195 1.3391 3.3709
-2.3195 1.3391 3.3709
0.0000 -2.6783 3.3709
Tb H Ru
1 6 1
direct
0.0000 0.0000 0.0000 Tb
0.0497 0.6159 0.6159 H
0.3841 0.3841 0.9503 H
0.3841 0.9503 0.3841 H
0.6159 0.0497 0.6159 H
0.6159 0.6159 0.0497 H
0.9503 0.3841 0.3841 H
0.5000 0.5000 0.5000 Ru
```

Principal peaks in the range 10° ≤ 2θ ≤ 90°, in order of rising 2θ:
2θ (°)  d [Å]  I_rel
28.37  3.145  100
38.83  2.319  43
42.24  2.140  35
48.78  1.867  23
64.02  1.454  20
68.86  1.363  16

=====

No. 4
VNiC: calculated XRD peak list (Cu Kα, 1.54184 Å), based on a DFT-relaxed cell (GGA-PBE, Alexandria).

Cell and atoms:
```
VNiC
1.0
5.0223 0.0000 0.0000
0.0000 2.4969 2.4969
0.0000 -2.4969 2.4969
V Ni C
2 2 2
direct
0.0000 0.0000 0.0000 V
0.5000 0.0000 0.0000 V
0.2500 0.4998 0.4975 Ni
0.7500 0.4975 0.4998 Ni
0.2500 0.9999 0.5007 C
0.7500 0.5007 0.9999 C
```

Principal peaks in the range 10° ≤ 2θ ≤ 90°, in order of rising 2θ:
2θ (°)  d [Å]  I_rel
35.97  2.497  77
44.26  2.046  100
51.78  1.766  35
70.44  1.337  44
86.83  1.122  10
87.32  1.117  10

=====

No. 5
Al14Cu3S24: calculated XRD peak list (Cu Kα, 1.54184 Å), based on a DFT-relaxed cell (GGA-PBE, Alexandria).

Cell and atoms:
```
Al14Cu3S24
1.0
6.0840 -3.5400 0.0000
6.0840 3.5400 0.0000
-0.0678 0.0000 17.3444
Al Cu S
14 3 24
direct
0.0000 0.0000 0.0000 Al
0.0132 0.0132 0.6281 Al
0.0229 0.5019 0.4994 Al
0.1648 0.1648 0.1632 Al
0.1656 0.6874 0.1643 Al
0.3395 0.8310 0.8321 Al
0.3405 0.3405 0.3405 Al
0.3457 0.3457 0.9578 Al
0.5011 0.5011 0.4988 Al
0.5019 0.0229 0.4994 Al
0.6747 0.6747 0.2923 Al
0.6772 0.6772 0.6748 Al
0.6874 0.1656 0.1643 Al
0.8310 0.3395 0.8321 Al
0.0071 0.0071 0.3745 Cu
0.3323 0.3323 0.7132 Cu
0.6715 0.6715 0.0364 Cu
0.0025 0.0025 0.7568 S
0.0065 0.0065 0.2427 S
0.0297 0.4946 0.2481 S
0.1563 0.6907 0.9140 S
0.1610 0.1610 0.9150 S
0.1835 0.1835 0.4203 S
0.1842 0.6563 0.4198 S
0.3177 0.8501 0.0843 S
0.3392 0.3392 0.0933 S
0.3421 0.3421 0.5780 S
0.3670 0.8296 0.5799 S
0.4946 0.0297 0.2481 S
0.4961 0.4961 0.2479 S
0.5053 0.9855 0.7546 S
0.5130 0.5130 0.7499 S
0.6563 0.1842 0.4198 S
0.6576 0.6576 0.9100 S
0.6754 0.6754 0.4250 S
0.6907 0.1563 0.9140 S
0.8296 0.3670 0.5799 S
0.8325 0.8325 0.5815 S
0.8453 0.8453 0.0869 S
0.8501 0.3177 0.0843 S
0.9855 0.5053 0.7546 S
```

Principal peaks in the range 10° ≤ 2θ ≤ 90°, in order of rising 2θ:
2θ (°)  d [Å]  I_rel
25.29  3.521  43
29.63  3.015  100
30.96  2.888  62
35.96  2.498  65
51.63  1.770  93
51.94  1.761  90

=====

No. 6
Pu3Ni: calculated XRD peak list (Cu Kα, 1.54184 Å), based on a DFT-relaxed cell (GGA-PBE, Alexandria).

Cell and atoms:
```
Pu3Ni
1.0
4.9975 0.0000 0.0000
0.0000 4.9975 0.0000
0.0000 0.0000 3.0379
Pu Ni
3 1
direct
0.0000 0.0000 0.0000 Pu
0.0000 0.5000 0.5000 Pu
0.5000 0.0000 0.5000 Pu
0.5000 0.5000 0.0000 Ni
```

Principal peaks in the range 10° ≤ 2θ ≤ 90°, in order of rising 2θ:
2θ (°)  d [Å]  I_rel
17.75  4.998  16
35.94  2.499  63
39.10  2.304  100
51.74  1.767  23
66.72  1.402  43
72.87  1.298  17